(1)
The following is a calculated powder diffraction line list of Rb2V2CuP2O12. It was derived from DFT lattice parameters and positions (GGA+U), using Cu Ka.
Lines closer than 0.1° are merged.

Most intense lines, 15° ≤ 2θ ≤ 90°, sorted by position:
2θ/deg  I_rel  index
21.79  27  1 1 1
24.67  93  1 2 -1
25.85  56  1 1 -2
26.43  30  1 0 2
30.12  40  1 3 -1
30.73  29  0 4 0
30.87  84  1 3 1
31.86  100  0 2 3
35.52  36  2 0 0
51.62  21  1 4 -4

a b c (Å): 5.067 11.637 9.642
angles (deg): 90.00 93.88 90.00
Element x y z (fractional)
Rb1 0.059 0.135 0.394
Rb2 0.059 0.365 0.894
Rb3 0.941 0.635 0.106
Rb4 0.941 0.865 0.606
V1 0.445 0.615 0.750
V2 0.445 0.885 0.250
V3 0.555 0.115 0.750
V4 0.555 0.385 0.250
Cu1 0.000 0.000 0.000
Cu2 0.000 0.500 0.500
P1 0.489 0.637 0.417
P2 0.489 0.863 0.917
P3 0.511 0.137 0.083
P4 0.511 0.363 0.583
O1 0.131 0.626 0.785
O2 0.131 0.874 0.285
O3 0.192 0.610 0.394
O4 0.192 0.890 0.894
O5 0.336 0.030 0.119
O6 0.336 0.470 0.619
O7 0.399 0.028 0.635
O8 0.399 0.472 0.135
O9 0.431 0.172 0.930
O10 0.431 0.328 0.430
O11 0.432 0.235 0.180
O12 0.432 0.265 0.680
O13 0.568 0.735 0.320
O14 0.568 0.765 0.820
O15 0.569 0.672 0.570
O16 0.569 0.828 0.070
O17 0.601 0.528 0.865
O18 0.601 0.972 0.365
O19 0.664 0.530 0.381
O20 0.664 0.970 0.881
O21 0.808 0.110 0.106
O22 0.808 0.390 0.606
O23 0.869 0.126 0.715
O24 0.869 0.374 0.215

(2)
The following is a calculated powder diffraction line list of Mn3CoP4O16. It was derived from DFT lattice parameters and positions (GGA+U), using Cu Ka.
Lines closer than 0.1° are merged.

Most intense lines, 15° ≤ 2θ ≤ 90°, sorted by position:
2θ/deg  I_rel  index
18.07  65  0 0 2
20.27  100  1 0 1
23.37  19  0 1 2
25.13  72  1 1 -1
29.66  87  0 2 0
36.18  72  1 1 -3
36.28  35  1 1 3
37.88  22  2 0 -1
56.99  19  1 3 -3
58.43  19  0 1 6

a b c (Å): 4.896 6.024 9.821
angles (deg): 90.00 90.23 90.00
Element x y z (fractional)
Mn1 0.000 0.000 0.000
Mn2 0.126 0.500 0.565
Mn3 0.625 0.000 0.494
Co1 0.526 0.500 0.055
P1 0.141 0.000 0.681
P2 0.471 0.000 0.178
P3 0.640 0.500 0.379
P4 0.978 0.500 0.880
O1 0.204 0.000 0.834
O2 0.284 0.200 0.609
O3 0.284 0.800 0.609
O4 0.289 0.500 0.902
O5 0.329 0.202 0.108
O6 0.329 0.500 0.399
O7 0.329 0.798 0.108
O8 0.412 0.000 0.332
O9 0.698 0.500 0.225
O10 0.784 0.300 0.451
O11 0.784 0.700 0.451
O12 0.785 0.000 0.161
O13 0.829 0.000 0.660
O14 0.829 0.301 0.951
O15 0.829 0.699 0.951
O16 0.911 0.500 0.727

(3)
The following is a calculated powder diffraction line list of Li9Mn2Co5O16. It was derived from DFT lattice parameters and positions (GGA+U), using Cu Ka.
Lines closer than 0.1° are merged.

Most intense lines, 15° ≤ 2θ ≤ 90°, sorted by position:
2θ/deg  I_rel  index
18.38  100  1 1 1
35.18  16  0 1 -2
36.30  13  -1 2 1
36.75  12  2 0 -2
42.31  30  1 0 3
44.11  26  0 3 2
44.60  25  3 1 -1
62.77  23  1 -3 1
63.56  7  2 1 -4
63.98  7  3 4 1

a b c (Å): 6.482 6.516 7.840
angles (deg): 65.46 87.67 72.08
Element x y z (fractional)
Li1 0.000 0.000 0.000
Li2 0.063 0.122 0.314
Li3 0.187 0.370 0.937
Li4 0.310 0.629 0.564
Li5 0.429 0.884 0.176
Li6 0.571 0.116 0.824
Li7 0.690 0.371 0.436
Li8 0.813 0.630 0.063
Li9 0.937 0.878 0.686
Mn1 0.249 0.500 0.245
Mn2 0.751 0.500 0.755
Co1 0.123 0.240 0.633
Co2 0.376 0.750 0.875
Co3 0.500 0.000 0.500
Co4 0.624 0.250 0.125
Co5 0.877 0.760 0.367
O1 0.017 0.555 0.662
O2 0.123 0.675 0.987
O3 0.157 0.785 0.290
O4 0.233 0.945 0.587
O5 0.285 0.050 0.889
O6 0.351 0.203 0.216
O7 0.387 0.310 0.509
O8 0.477 0.457 0.839
O9 0.523 0.543 0.161
O10 0.613 0.690 0.491
O11 0.649 0.797 0.784
O12 0.715 0.950 0.111
O13 0.767 0.055 0.413
O14 0.843 0.215 0.710
O15 0.877 0.325 0.013
O16 0.983 0.445 0.338